The following is a simulated X-ray powder pattern of HoSnH6Ir2. It was derived from a cell relaxed with PBE, using Cu Kα (λ = 1.5418 Å).
Peak positions follow from Bragg's law for the DFT cell and can differ from measured ones.

Principal peaks in the range 2θ from 10° to 80°, low angle first:
14.33°, I = 1000; 18.27°, I = 990; 27.05°, I = 589; 27.56°, I = 675; 33.77°, I = 522; 40.04°, I = 816; 40.44°, I = 620; 48.14°, I = 450

Atomic structure:
```
HoSnH6Ir2
1.0
3.8872 -6.5933 0.0000
3.8872 6.5933 0.0000
-2.3738 0.0000 4.9000
Ho Sn H Ir
2 2 12 4
direct
0.0854 0.9146 0.7500
0.9146 0.0854 0.2500
0.2988 0.7012 0.2500
0.7012 0.2988 0.7500
0.0577 0.4122 0.5989
0.1793 0.2578 0.1007
0.2578 0.1793 0.6007
0.3319 0.4637 0.8963
0.4122 0.0577 0.0989
0.4637 0.3319 0.3963
0.5363 0.6681 0.6037
0.5878 0.9423 0.9011
0.6681 0.5363 0.1037
0.7422 0.8207 0.3993
0.8207 0.7422 0.8993
0.9423 0.5878 0.4011
0.0790 0.3214 0.8522
0.3214 0.0790 0.3522
0.6786 0.9210 0.6478
0.9210 0.6786 0.1478
```

---

The following is a simulated X-ray powder pattern of CuPO4F. It was derived from a cell relaxed with PBE, using Cu Kα (λ = 1.5418 Å).
Peak positions follow from Bragg's law for the DFT cell and can differ from measured ones.

Principal peaks in the range 2θ from 10° to 80°, low angle first:
18.64°, I = 631; 18.74°, I = 691; 19.17°, I = 868; 23.32°, I = 438; 26.80°, I = 623; 27.10°, I = 1000; 30.14°, I = 844; 38.19°, I = 420

Atomic structure:
```
CuPO4F
1.0
5.0811 0.0000 0.0000
-0.5856 5.1111 0.0000
-1.9943 -2.5045 6.4081
Cu P O F
2 2 8 2
direct
0.0000 0.0000 0.0000
0.5000 0.5000 0.5000
0.0566 0.3881 0.7399
0.9434 0.6119 0.2601
0.1430 0.1581 0.8281
0.1645 0.6805 0.9144
0.1924 0.3418 0.5659
0.2669 0.7056 0.3730
0.7331 0.2944 0.6270
0.8076 0.6582 0.4341
0.8355 0.3195 0.0856
0.8570 0.8419 0.1719
0.3509 0.1903 0.2290
0.6491 0.8097 0.7710
```